[1]
Simulated powder X-ray diffraction pattern of TaTi3As2 for Cu Kα X-rays, from a GGA-PBE-relaxed structure.
Peak positions follow from Bragg's law for the DFT cell and can differ from measured ones.

Most intense lines, 15° ≤ 2θ ≤ 90°, by angle:
17.6 deg, I = 29
25.9 deg, I = 23
27.6 deg, I = 27
32.2 deg, I = 22
32.9 deg, I = 17
35.9 deg, I = 12
39.4 deg, I = 100
44.6 deg, I = 12
45.6 deg, I = 17
45.8 deg, I = 19
57.0 deg, I = 18
57.8 deg, I = 14

Crystal structure
```
TaTi3As2
1.0
-2.7827 5.9470 3.2324
2.7827 -5.9470 3.2324
2.7827 5.9470 -3.2324
Ta Ti As
2 6 4
Cartesian
0.0000 0.0000 0.0000 Ta
0.0000 0.0000 3.2324 Ta
2.7827 3.7573 -1.6162 Ti
2.7827 0.0000 1.6162 Ti
0.0000 2.1897 1.6162 Ti
2.7827 3.7573 1.6162 Ti
0.0000 5.9470 1.6162 Ti
0.0000 2.1897 4.8486 Ti
3.5702 1.8515 0.0000 As
0.7874 4.0955 0.0000 As
1.9953 1.8515 3.2324 As
-0.7874 4.0955 3.2324 As
```

=====

[2]
Simulated powder X-ray diffraction pattern of TaAsW3 for Cu Kα X-rays, from a GGA-PBE-relaxed structure.
Peak positions follow from Bragg's law for the DFT cell and can differ from measured ones.

Most intense lines, 15° ≤ 2θ ≤ 90°, by angle:
19.4 deg, I = 5
27.6 deg, I = 4
34.0 deg, I = 100
39.5 deg, I = 77
44.3 deg, I = 2
48.8 deg, I = 1
57.0 deg, I = 53
60.8 deg, I = 1
68.1 deg, I = 41
71.6 deg, I = 18
78.3 deg, I = 1
84.9 deg, I = 9

Crystal structure
```
TaAsW3
1.0
4.5675 0.0000 0.0000
0.0000 4.5675 0.0000
0.0000 0.0000 4.5675
Ta As W
1 1 3
Cartesian
0.0000 0.0000 0.0000 Ta
2.2838 2.2838 2.2838 As
0.0000 2.2838 2.2838 W
2.2838 0.0000 2.2838 W
2.2838 2.2838 0.0000 W
```